Record 1
Starting from a structure optimized by DFT (PBE), the X-ray diffraction stick pattern of Sr8Ni2Pt was simulated for Cu Kα X-rays.

Structure:
```
11
Lattice="6.454 0.000 0.000 0.001 9.249 0.000 0.002 4.622 8.022" Properties=species:S:1:pos:R:3 pbc="T T T"
Sr 1.576 4.625 2.677
Sr 1.645 6.818 6.747
Sr 1.646 11.670 6.758
Sr 1.645 9.256 2.540
Sr 4.813 4.616 5.482
Sr 4.812 2.202 1.264
Sr 4.813 7.053 1.275
Sr 4.882 9.247 5.345
Ni 1.666 9.247 5.345
Ni 4.792 4.625 2.677
Pt 3.227 0.000 0.000
```

Most intense lines, 2θ = 10–90°, sorted by position:
11.0 deg, I 31; 17.6 deg, I 43; 19.2 deg, I 41; 26.2 deg, I 100; 27.6 deg, I 22; 32.7 deg, I 24; 35.7 deg, I 59; 38.9 deg, I 64; 40.9 deg, I 23; 48.4 deg, I 26

Record 2
Starting from a structure optimized by DFT (PBE), the X-ray diffraction stick pattern of SrNiPt3 was simulated for Cu Kα X-rays.

Structure:
```
5
Lattice="4.706 0.000 0.000 0.000 4.706 0.000 0.000 0.000 4.706" Properties=species:S:1:pos:R:3 pbc="T T T"
Sr 0.000 0.000 0.000
Ni 2.353 2.353 2.353
Pt 0.000 2.353 2.353
Pt 2.353 0.000 2.353
Pt 2.353 2.353 0.000
```

Most intense lines, 2θ = 10–90°, sorted by position:
18.9 deg, I 24; 33.0 deg, I 100; 38.3 deg, I 75; 43.0 deg, I 12; 55.2 deg, I 52; 58.9 deg, I 6; 65.8 deg, I 42; 69.2 deg, I 18; 81.9 deg, I 8; 85.0 deg, I 3

Record 3
Starting from a structure optimized by DFT (PBE), the X-ray diffraction stick pattern of TaNi23Pt6 was simulated for Cu Kα X-rays.

Structure:
```
30
Lattice="0.000 5.696 5.696 5.696 0.000 5.696 5.696 5.696 0.000" Properties=species:S:1:pos:R:3 pbc="T T T"
Ta 0.000 0.000 0.000
Ni 2.848 2.848 0.000
Ni 2.848 0.000 2.848
Ni 5.696 2.848 2.848
Ni 7.107 4.286 4.286
Ni 1.831 1.831 1.831
Ni 3.865 3.865 1.831
Ni 3.865 1.831 3.865
Ni 4.286 4.286 4.286
Ni 7.107 7.107 4.286
Ni 7.107 4.286 7.107
Ni 9.561 7.528 7.528
Ni 0.000 2.848 2.848
Ni 2.848 5.696 2.848
Ni 2.848 2.848 5.696
Ni 5.696 5.696 5.696
Ni 1.831 3.865 3.865
Ni 4.286 7.107 4.286
Ni 4.286 4.286 7.107
Ni 7.107 7.107 7.107
Ni 7.528 9.561 7.528
Ni 7.528 7.528 9.561
Ni 9.561 9.561 9.561
Ni 4.286 7.107 7.107
Pt 5.696 5.696 2.636
Pt 5.696 2.636 5.696
Pt 8.757 5.696 5.696
Pt 2.636 5.696 5.696
Pt 5.696 8.757 5.696
Pt 5.696 5.696 8.757
```

Most intense lines, 2θ = 10–90°, sorted by position:
15.6 deg, I 10; 27.1 deg, I 12; 31.4 deg, I 18; 35.2 deg, I 24; 41.2 deg, I 25; 45.0 deg, I 100; 47.9 deg, I 12; 65.5 deg, I 11; 74.5 deg, I 10; 83.1 deg, I 22

Record 4
Starting from a structure optimized by DFT (PBE), the X-ray diffraction stick pattern of TaNiPt was simulated for Cu Kα X-rays.

Structure:
```
12
Lattice="4.648 0.000 0.000 0.000 4.686 0.000 0.000 0.000 8.235" Properties=species:S:1:pos:R:3 pbc="T T T"
Ta 1.162 1.095 0.000
Ta 1.162 3.438 4.117
Ta 3.486 1.248 4.117
Ta 3.486 3.591 0.000
Ni 1.162 1.041 2.822
Ni 1.162 3.384 6.939
Ni 3.486 1.302 6.939
Ni 3.486 3.645 2.822
Pt 1.162 1.039 5.520
Pt 1.162 3.382 1.402
Pt 3.486 1.304 1.402
Pt 3.486 3.647 5.520
```

Most intense lines, 2θ = 10–90°, sorted by position:
21.6 deg, I 10; 29.2 deg, I 23; 38.4 deg, I 32; 38.7 deg, I 34; 42.9 deg, I 100; 55.7 deg, I 22; 72.5 deg, I 17; 73.0 deg, I 21; 81.2 deg, I 7; 81.4 deg, I 8